1.
The following is a simulated powder X-ray diffraction pattern of BaVZn. It was derived from the GGA-PBE geometry in Alexandria, using Cu Ka.

Top 8 peaks for 2θ from 15° to 90°, low angle first:
2theta, d [Å], I/Imax
23.96, 3.713, 32
25.76, 3.459, 55
26.08, 3.417, 57
30.08, 2.971, 100
33.98, 2.638, 45
40.23, 2.242, 46
40.80, 2.212, 28
51.81, 1.765, 37

Atomic structure:
```
BaVZn
1.0
4.424 0.000 0.000
0.000 6.833 0.000
0.000 0.000 12.033
Ba V Zn
4 4 4
direct
0.000 0.000 0.173
0.000 0.000 0.827
0.500 0.500 0.327
0.500 0.500 0.673
0.000 0.135 0.500
0.000 0.865 0.500
0.500 0.365 0.000
0.500 0.635 0.000
0.000 0.500 0.106
0.000 0.500 0.894
0.500 0.000 0.394
0.500 0.000 0.606
```

***

2.
The following is a simulated powder X-ray diffraction pattern of Ba2VZn2. It was derived from the GGA-PBE geometry in Alexandria, using Cu Ka.

Top 8 peaks for 2θ from 15° to 90°, low angle first:
2theta, d [Å], I/Imax
22.26, 3.993, 28
27.62, 3.230, 100
29.72, 3.006, 55
35.76, 2.511, 33
39.45, 2.284, 38
49.85, 1.829, 19
50.16, 1.819, 25
64.51, 1.444, 17

Atomic structure:
```
Ba2VZn2
1.0
6.460 0.000 0.000
0.000 6.460 0.000
0.000 0.000 7.986
Ba V Zn
4 2 4
direct
0.000 0.500 0.250
0.000 0.500 0.750
0.500 0.000 0.250
0.500 0.000 0.750
0.000 0.000 0.000
0.500 0.500 0.500
0.000 0.000 0.346
0.000 0.000 0.654
0.500 0.500 0.154
0.500 0.500 0.846
```

***

3.
The following is a simulated powder X-ray diffraction pattern of Ba5W4. It was derived from the GGA-PBE geometry in Alexandria, using Cu Ka.

Top 8 peaks for 2θ from 15° to 90°, low angle first:
2theta, d [Å], I/Imax
15.41, 5.751, 16
21.86, 4.066, 23
30.37, 2.943, 100
33.04, 2.711, 25
39.24, 2.296, 18
46.92, 1.937, 30
52.21, 1.752, 13
52.33, 1.748, 15

Atomic structure:
```
Ba5W4
1.0
-5.751 5.751 2.296
5.751 -5.751 2.296
5.751 5.751 -2.296
Ba W
5 4
direct
0.000 0.000 0.000
0.326 0.326 0.652
0.326 0.674 0.000
0.674 0.326 0.000
0.674 0.674 0.348
0.000 0.398 0.398
0.000 0.602 0.602
0.398 0.000 0.398
0.602 0.000 0.602
```

***

4.
The following is a simulated powder X-ray diffraction pattern of Ba2YW. It was derived from the GGA-PBE geometry in Alexandria, using Cu Ka.

Top 8 peaks for 2θ from 15° to 90°, low angle first:
2theta, d [Å], I/Imax
18.98, 4.677, 73
28.58, 3.124, 59
29.11, 3.067, 52
32.90, 2.722, 86
36.97, 2.432, 100
37.24, 2.414, 32
38.45, 2.341, 36
59.02, 1.565, 32

Atomic structure:
```
Ba2YW
1.0
3.521 0.000 0.000
0.000 4.829 0.000
0.000 0.000 18.742
Ba Y W
4 2 2
direct
0.000 0.000 0.155
0.000 0.000 0.845
0.500 0.500 0.345
0.500 0.500 0.655
0.000 0.500 0.000
0.500 0.000 0.500
0.000 0.500 0.500
0.500 0.000 0.000
```

***

5.
The following is a simulated powder X-ray diffraction pattern of Ba5Zn6. It was derived from the GGA-PBE geometry in Alexandria, using Cu Ka.

Top 8 peaks for 2θ from 15° to 90°, low angle first:
2theta, d [Å], I/Imax
22.93, 3.878, 27
27.59, 3.233, 100
28.51, 3.131, 73
32.54, 2.752, 32
35.21, 2.549, 28
37.62, 2.391, 62
47.87, 1.900, 35
54.26, 1.691, 21

Atomic structure:
```
Ba5Zn6
1.0
2.391 -16.569 0.000
2.391 16.569 0.000
0.000 0.000 4.781
Ba Zn
5 6
direct
0.000 0.000 0.000
0.196 0.804 0.500
0.386 0.614 0.000
0.614 0.386 0.000
0.804 0.196 0.500
0.081 0.919 0.500
0.270 0.730 0.000
0.460 0.540 0.500
0.540 0.460 0.500
0.730 0.270 0.000
0.919 0.081 0.500
```

***

6.
The following is a simulated powder X-ray diffraction pattern of Ba3Zn. It was derived from the GGA-PBE geometry in Alexandria, using Cu Ka.

Top 8 peaks for 2θ from 15° to 90°, low angle first:
2theta, d [Å], I/Imax
22.58, 3.938, 37
24.38, 3.651, 25
26.67, 3.343, 100
29.95, 2.984, 62
38.98, 2.310, 28
39.22, 2.297, 21
42.86, 2.110, 23
51.20, 1.784, 32

Atomic structure:
```
Ba3Zn
1.0
4.220 0.000 0.000
0.000 4.220 0.000
0.000 0.000 10.953
Ba Zn
3 1
direct
0.000 0.000 0.000
0.500 0.500 0.324
0.500 0.500 0.676
0.000 0.000 0.500
```

***

7.
The following is a simulated powder X-ray diffraction pattern of Ba3Zn. It was derived from the GGA-PBE geometry in Alexandria, using Cu Ka.

Top 8 peaks for 2θ from 15° to 90°, low angle first:
2theta, d [Å], I/Imax
24.73, 3.600, 54
25.42, 3.503, 100
25.55, 3.486, 61
26.22, 3.399, 82
27.47, 3.247, 66
28.05, 3.181, 59
45.43, 1.996, 57
46.28, 1.962, 46

Atomic structure:
```
Ba3Zn
1.0
8.653 0.000 0.000
0.000 11.770 0.000
0.000 0.000 7.785
Ba Zn
12 4
direct
0.033 0.250 0.143
0.179 0.068 0.672
0.179 0.432 0.672
0.321 0.568 0.172
0.321 0.932 0.172
0.467 0.750 0.643
0.533 0.250 0.357
0.679 0.068 0.828
0.679 0.432 0.828
0.821 0.568 0.328
0.821 0.932 0.328
0.967 0.750 0.857
0.115 0.750 0.444
0.385 0.250 0.944
0.615 0.750 0.056
0.885 0.250 0.556
```

***

8.
The following is a simulated powder X-ray diffraction pattern of Ba5Zn4. It was derived from the GGA-PBE geometry in Alexandria, using Cu Ka.

Top 8 peaks for 2θ from 15° to 90°, low angle first:
2theta, d [Å], I/Imax
24.54, 3.627, 25
26.47, 3.368, 74
26.82, 3.324, 21
28.23, 3.161, 100
28.56, 3.125, 51
32.84, 2.727, 30
33.06, 2.710, 47
51.25, 1.783, 40

Atomic structure:
```
Ba5Zn4
1.0
5.837 -2.710 0.000
5.837 2.710 0.000
-3.903 0.000 10.793
Ba Zn
5 4
direct
0.000 0.000 0.000
0.113 0.113 0.398
0.251 0.251 0.818
0.749 0.749 0.182
0.887 0.887 0.602
0.414 0.414 0.391
0.438 0.438 0.171
0.562 0.562 0.829
0.586 0.586 0.609
```

***

9.
The following is a simulated powder X-ray diffraction pattern of BaZn3. It was derived from the GGA-PBE geometry in Alexandria, using Cu Ka.

Top 8 peaks for 2θ from 15° to 90°, low angle first:
2theta, d [Å], I/Imax
25.66, 3.471, 69
33.00, 2.714, 100
37.48, 2.400, 38
41.49, 2.177, 43
49.42, 1.844, 23
56.54, 1.628, 28
57.13, 1.612, 22
70.32, 1.339, 21

Atomic structure:
```
BaZn3
1.0
4.353 0.000 0.000
0.000 4.353 0.000
0.000 0.000 5.753
Ba Zn
1 3
direct
0.000 0.000 0.000
0.000 0.500 0.489
0.500 0.000 0.489
0.500 0.500 0.715
```

***

10.
The following is a simulated powder X-ray diffraction pattern of Ba4Zn. It was derived from the GGA-PBE geometry in Alexandria, using Cu Ka.

Top 8 peaks for 2θ from 15° to 90°, low angle first:
2theta, d [Å], I/Imax
23.21, 3.832, 100
26.87, 3.318, 90
38.36, 2.347, 70
45.32, 2.001, 50
47.45, 1.916, 25
60.84, 1.523, 21
62.59, 1.484, 33
69.37, 1.355, 24

Atomic structure:
```
Ba4Zn
1.0
6.637 0.000 0.000
0.000 6.637 0.000
0.000 0.000 6.637
Ba Zn
4 1
direct
0.000 0.000 0.000
0.000 0.500 0.500
0.500 0.000 0.500
0.500 0.500 0.000
0.500 0.500 0.500
```

***

11.
The following is a simulated powder X-ray diffraction pattern of Ba3Zn2. It was derived from the GGA-PBE geometry in Alexandria, using Cu Ka.

Top 8 peaks for 2θ from 15° to 90°, low angle first:
2theta, d [Å], I/Imax
26.39, 3.378, 27
28.83, 3.096, 82
30.46, 2.935, 100
31.59, 2.833, 84
38.48, 2.340, 20
43.62, 2.075, 37
53.13, 1.724, 29
54.85, 1.674, 34

Atomic structure:
```
Ba3Zn2
1.0
4.150 0.000 0.000
0.000 4.150 0.000
0.000 0.000 23.254
Ba Zn
6 4
direct
0.000 0.000 0.000
0.000 0.000 0.176
0.000 0.000 0.348
0.000 0.000 0.652
0.000 0.000 0.824
0.500 0.500 0.500
0.500 0.500 0.088
0.500 0.500 0.266
0.500 0.500 0.734
0.500 0.500 0.912
```

***

12.
The following is a simulated powder X-ray diffraction pattern of BaZn8. It was derived from the GGA-PBE geometry in Alexandria, using Cu Ka.

Top 8 peaks for 2θ from 15° to 90°, low angle first:
2theta, d [Å], I/Imax
27.69, 3.222, 17
36.00, 2.495, 100
41.28, 2.187, 22
42.07, 2.148, 26
58.49, 1.578, 19
60.41, 1.532, 17
71.82, 1.314, 12
72.92, 1.297, 10

Atomic structure:
```
BaZn8
1.0
-4.556 4.556 2.187
4.556 -4.556 2.187
4.556 4.556 -2.187
Ba Zn
1 8
direct
0.000 0.000 0.000
0.000 0.356 0.356
0.000 0.644 0.644
0.299 0.299 0.597
0.299 0.701 0.000
0.356 0.000 0.356
0.644 0.000 0.644
0.701 0.299 0.000
0.701 0.701 0.403
```

***

13.
The following is a simulated powder X-ray diffraction pattern of BaZr. It was derived from the GGA-PBE geometry in Alexandria, using Cu Ka.

Top 8 peaks for 2θ from 15° to 90°, low angle first:
2theta, d [Å], I/Imax
22.58, 3.938, 29
23.36, 3.808, 19
28.67, 3.113, 15
30.45, 2.935, 41
31.05, 2.880, 100
42.77, 2.114, 30
54.51, 1.684, 19
55.61, 1.653, 15

Atomic structure:
```
BaZr
1.0
12.454 0.000 0.000
0.000 12.454 0.000
0.000 0.000 3.999
Ba Zr
8 8
direct
0.144 0.835 0.000
0.165 0.144 0.000
0.335 0.356 0.500
0.356 0.665 0.500
0.644 0.335 0.500
0.665 0.644 0.500
0.835 0.856 0.000
0.856 0.165 0.000
0.022 0.378 0.500
0.122 0.522 0.000
0.378 0.978 0.500
0.478 0.122 0.000
0.522 0.878 0.000
0.622 0.022 0.500
0.878 0.478 0.000
0.978 0.622 0.500
```

***

14.
The following is a simulated powder X-ray diffraction pattern of BaZr. It was derived from the GGA-PBE geometry in Alexandria, using Cu Ka.

Top 8 peaks for 2θ from 15° to 90°, low angle first:
2theta, d [Å], I/Imax
24.24, 3.672, 49
24.90, 3.576, 24
28.90, 3.089, 29
29.05, 3.073, 100
30.26, 2.953, 20
32.08, 2.790, 49
34.43, 2.605, 37
45.68, 1.986, 19

Atomic structure:
```
BaZr
1.0
10.351 0.000 0.000
0.000 5.210 0.000
0.000 0.000 11.433
Ba Zr
8 8
direct
0.095 0.250 0.124
0.142 0.250 0.749
0.358 0.750 0.249
0.405 0.750 0.624
0.595 0.250 0.376
0.642 0.250 0.751
0.858 0.750 0.251
0.905 0.750 0.876
0.073 0.750 0.516
0.201 0.250 0.443
0.299 0.750 0.943
0.427 0.250 0.016
0.573 0.750 0.984
0.701 0.250 0.057
0.799 0.750 0.557
0.927 0.250 0.484
```